[1]
Starting from a crystal structure in Alexandria, relaxed with GGA-PBE, the X-ray powder pattern of SrMg4In4 was computed for Cu Kα X-rays.

Principal peaks in the range 10° ≤ 2θ ≤ 90°, low angle first:
2θ 17.7, d 5.019, rel. 32.4; 2θ 25.3, d 3.518, rel. 21.8; 2θ 27.1, d 3.294, rel. 100.0; 2θ 29.6, d 3.017, rel. 29.4; 2θ 30.0, d 2.979, rel. 47.3; 2θ 36.4, d 2.466, rel. 30.8; 2θ 37.2, d 2.414, rel. 47.8; 2θ 38.1, d 2.361, rel. 25.6; 2θ 40.8, d 2.213, rel. 38.1; 2θ 47.6, d 1.909, rel. 19.8; 2θ 52.5, d 1.744, rel. 18.0; 2θ 60.4, d 1.532, rel. 19.3

Cell: 6.975 6.975 10.037 Å, 90.00 90.00 90.00°
Sites, in units of the cell vectors:
1 Sr 0.250 0.750 0.250
2 Sr 0.750 0.250 0.750
3 Mg 0.022 0.250 0.163
4 Mg 0.250 0.022 0.663
5 Mg 0.250 0.478 0.663
6 Mg 0.478 0.250 0.163
7 Mg 0.522 0.750 0.837
8 Mg 0.750 0.522 0.337
9 Mg 0.750 0.978 0.337
10 Mg 0.978 0.750 0.837
11 In 0.033 0.250 0.455
12 In 0.250 0.033 0.955
13 In 0.250 0.467 0.955
14 In 0.467 0.250 0.455
15 In 0.533 0.750 0.545
16 In 0.750 0.533 0.045
17 In 0.750 0.967 0.045
18 In 0.967 0.750 0.545

=====

[2]
Starting from a crystal structure in Alexandria, relaxed with GGA-PBE, the X-ray powder pattern of Sr2Mg5In3 was computed for Cu Kα X-rays.

Principal peaks in the range 10° ≤ 2θ ≤ 90°, low angle first:
2θ 23.3, d 3.826, rel. 31.6; 2θ 26.7, d 3.338, rel. 27.4; 2θ 27.9, d 3.200, rel. 70.6; 2θ 30.1, d 2.972, rel. 100.0; 2θ 33.8, d 2.649, rel. 36.3; 2θ 38.1, d 2.361, rel. 63.7; 2θ 38.6, d 2.334, rel. 25.1; 2θ 39.4, d 2.285, rel. 51.1; 2θ 47.9, d 1.900, rel. 31.2; 2θ 55.0, d 1.669, rel. 21.3; 2θ 56.0, d 1.642, rel. 35.7; 2θ 64.0, d 1.455, rel. 22.0

Cell: 4.721 4.721 13.056 Å, 90.00 90.00 90.00°
Sites, in units of the cell vectors:
1 Sr 0.000 0.500 0.235
2 Sr 0.500 0.000 0.765
3 Mg 0.000 0.000 0.500
4 Mg 0.000 0.500 0.645
5 Mg 0.500 0.000 0.355
6 Mg 0.500 0.500 0.000
7 Mg 0.500 0.500 0.500
8 In 0.000 0.000 0.000
9 In 0.000 0.500 0.861
10 In 0.500 0.000 0.139

=====

[3]
Starting from a crystal structure in Alexandria, relaxed with GGA-PBE, the X-ray powder pattern of Sr2Mg6TlIn was computed for Cu Kα X-rays.

Principal peaks in the range 10° ≤ 2θ ≤ 90°, low angle first:
2θ 16.8, d 5.292, rel. 52.1; 2θ 25.2, d 3.538, rel. 100.0; 2θ 29.2, d 3.060, rel. 19.7; 2θ 33.9, d 2.647, rel. 50.0; 2θ 34.9, d 2.571, rel. 55.6; 2θ 37.8, d 2.378, rel. 16.3; 2θ 38.9, d 2.313, rel. 15.9; 2θ 49.4, d 1.846, rel. 15.8; 2θ 49.4, d 1.843, rel. 14.1; 2θ 51.7, d 1.769, rel. 30.4; 2θ 55.5, d 1.655, rel. 15.0; 2θ 73.7, d 1.286, rel. 12.6

Cell: 6.119 9.511 10.580 Å, 90.00 90.00 90.00°
Sites, in units of the cell vectors:
1 Sr 0.250 0.002 0.240
2 Sr 0.250 0.498 0.240
3 Sr 0.750 0.502 0.760
4 Sr 0.750 0.998 0.760
5 Mg 0.001 0.250 0.498
6 Mg 0.001 0.750 0.998
7 Mg 0.250 0.000 0.581
8 Mg 0.250 0.500 0.581
9 Mg 0.499 0.250 0.498
10 Mg 0.499 0.750 0.998
11 Mg 0.501 0.250 0.002
12 Mg 0.501 0.750 0.502
13 Mg 0.750 0.000 0.419
14 Mg 0.750 0.500 0.419
15 Mg 0.999 0.250 0.002
16 Mg 0.999 0.750 0.502
17 Tl 0.250 0.250 0.762
18 Tl 0.750 0.750 0.238
19 In 0.250 0.750 0.757
20 In 0.750 0.250 0.243

=====

[4]
Starting from a crystal structure in Alexandria, relaxed with GGA-PBE, the X-ray powder pattern of SrMg2Tl2In2 was computed for Cu Kα X-rays.

Principal peaks in the range 10° ≤ 2θ ≤ 90°, low angle first:
2θ 20.9, d 4.255, rel. 30.8; 2θ 24.3, d 3.659, rel. 61.1; 2θ 25.8, d 3.447, rel. 38.1; 2θ 30.8, d 2.901, rel. 95.2; 2θ 33.9, d 2.641, rel. 100.0; 2θ 34.5, d 2.601, rel. 27.3; 2θ 35.9, d 2.504, rel. 21.0; 2θ 38.6, d 2.333, rel. 30.9; 2θ 39.6, d 2.277, rel. 34.7; 2θ 47.1, d 1.931, rel. 22.1; 2θ 56.5, d 1.629, rel. 20.3; 2θ 56.8, d 1.621, rel. 21.7

Cell: 10.098 4.553 8.567 Å, 90.00 96.64 90.00°
Sites, in units of the cell vectors:
1 Sr 0.000 0.000 0.000
2 Sr 0.500 0.500 0.000
3 Mg 0.142 0.000 0.439
4 Mg 0.358 0.500 0.561
5 Mg 0.642 0.500 0.439
6 Mg 0.858 0.000 0.561
7 Tl 0.222 0.500 0.195
8 Tl 0.278 0.000 0.805
9 Tl 0.722 0.000 0.195
10 Tl 0.778 0.500 0.805
11 In 0.070 0.500 0.679
12 In 0.430 0.000 0.321
13 In 0.570 0.000 0.679
14 In 0.930 0.500 0.321

=====

[5]
Starting from a crystal structure in Alexandria, relaxed with GGA-PBE, the X-ray powder pattern of Sr2Mg2Tl7In was computed for Cu Kα X-rays.

Principal peaks in the range 10° ≤ 2θ ≤ 90°, low angle first:
2θ 16.9, d 5.261, rel. 31.9; 2θ 27.0, d 3.299, rel. 29.8; 2θ 28.8, d 3.101, rel. 79.1; 2θ 28.9, d 3.087, rel. 69.5; 2θ 30.2, d 2.962, rel. 27.7; 2θ 31.5, d 2.840, rel. 56.2; 2θ 32.0, d 2.794, rel. 28.3; 2θ 35.0, d 2.564, rel. 42.0; 2θ 36.9, d 2.437, rel. 100.0; 2θ 53.1, d 1.725, rel. 26.2; 2θ 61.7, d 1.503, rel. 25.2; 2θ 62.8, d 1.481, rel. 25.4

Cell: 4.895 4.895 15.876 Å, 94.47 94.47 87.12°
Sites, in units of the cell vectors:
1 Sr 0.084 0.084 0.350
2 Sr 0.916 0.916 0.650
3 Mg 0.438 0.438 0.732
4 Mg 0.562 0.562 0.268
5 Tl 0.036 0.535 0.156
6 Tl 0.326 0.326 0.548
7 Tl 0.465 0.964 0.844
8 Tl 0.500 0.500 0.000
9 Tl 0.535 0.036 0.156
10 Tl 0.674 0.674 0.452
11 Tl 0.964 0.465 0.844
12 In 0.000 0.000 0.000

=====

[6]
Starting from a crystal structure in Alexandria, relaxed with GGA-PBE, the X-ray powder pattern of Sr2MgTlIn6 was computed for Cu Kα X-rays.

Principal peaks in the range 10° ≤ 2θ ≤ 90°, low angle first:
2θ 13.7, d 6.441, rel. 34.6; 2θ 17.7, d 5.010, rel. 37.3; 2θ 23.6, d 3.770, rel. 23.7; 2θ 27.3, d 3.262, rel. 64.4; 2θ 28.6, d 3.119, rel. 25.6; 2θ 29.7, d 3.013, rel. 37.3; 2θ 31.8, d 2.818, rel. 100.0; 2θ 32.8, d 2.729, rel. 46.6; 2θ 36.7, d 2.449, rel. 46.1; 2θ 43.9, d 2.064, rel. 24.0; 2θ 46.7, d 1.946, rel. 29.1; 2θ 48.3, d 1.885, rel. 34.3

Cell: 13.727 13.727 13.727 Å, 31.88 31.88 31.88°
Sites, in units of the cell vectors:
1 Sr 0.104 0.104 0.104
2 Sr 0.278 0.278 0.278
3 Sr 0.722 0.722 0.722
4 Sr 0.896 0.896 0.896
5 Mg 0.000 0.000 0.000
6 Mg 0.500 0.500 0.500
7 Tl 0.426 0.426 0.426
8 Tl 0.574 0.574 0.574
9 In 0.068 0.673 0.673
10 In 0.225 0.225 0.636
11 In 0.225 0.636 0.225
12 In 0.327 0.327 0.932
13 In 0.327 0.932 0.327
14 In 0.364 0.775 0.775
15 In 0.636 0.225 0.225
16 In 0.673 0.068 0.673
17 In 0.673 0.673 0.068
18 In 0.775 0.364 0.775
19 In 0.775 0.775 0.364
20 In 0.932 0.327 0.327